(1)
# Ce2Pt2Au3
Simulated powder X-ray diffraction pattern, CuKα. Input: DFT lattice parameters and positions (PBE).
Peak positions follow from Bragg's law for the DFT cell and can differ from measured ones.

Main lines, by angle (10 to 90 degrees two-theta):
| two_theta | d_spacing | I/Imax | h k l |
| --- | --- | --- | --- |
| 33.01 | 2.714 | 100 | 1 1 1 |
| 36.09 | 2.488 | 29 | 0 6 1 |
| 38.31 | 2.350 | 66 | 1 7 0 |
| 39.79 | 2.265 | 17 | 1 5 1 |
| 43.44 | 2.083 | 26 | 0 8 1 |
| 44.56 | 2.033 | 25 | 2 0 0 |
| 49.18 | 1.853 | 19 | 0 0 2 |
| 58.63 | 1.575 | 14 | 2 6 1 |
| 64.00 | 1.455 | 46 | 1 7 2 |
| 68.52 | 1.369 | 14 | 2 0 2 |

a b c (Å): 4.0665 20.1532 3.7050
angles (deg): 90.00 90.00 90.00
Space group Cmmm (No. 65)
Symmetry-distinct sites (fractional):
1 Ce 0.0000 0.1560 0.0000
2 Pt 0.0000 0.2967 0.5000
3 Au 0.0000 0.0000 0.0000
4 Au 0.0000 0.4332 0.5000


(2)
# Ce2Pt3Au
Simulated powder X-ray diffraction pattern, CuKα. Input: DFT lattice parameters and positions (PBE).
Peak positions follow from Bragg's law for the DFT cell and can differ from measured ones.

Main lines, by angle (10 to 90 degrees two-theta):
| two_theta | d_spacing | I/Imax | h k l |
| --- | --- | --- | --- |
| 33.19 | 2.699 | 100 | 1 1 4 |
| 33.45 | 2.679 | 38 | 2 1 0 |
| 34.55 | 2.596 | 30 | 0 1 5 |
| 35.05 | 2.560 | 36 | 2 0 5 |
| 36.66 | 2.451 | 33 | 1 1 5 |
| 36.90 | 2.436 | 89 | 2 1 3 |
| 41.12 | 2.195 | 34 | 0 0 8 |
| 41.78 | 2.162 | 32 | 3 0 4 |
| 47.17 | 1.927 | 46 | 0 2 0 |
| 68.36 | 1.372 | 39 | 5 1 2 |

a b c (Å): 7.4531 3.8536 17.5607
angles (deg): 90.00 90.00 90.00
Space group Pnma (No. 62)
Symmetry-distinct sites (fractional):
1 Ce 0.1008 0.2500 0.2081
2 Ce 0.1611 0.2500 0.4307
3 Pt 0.0828 0.2500 0.6561
4 Pt 0.2102 0.2500 0.8067
5 Pt 0.2182 0.7500 0.5507
6 Au 0.0095 0.7500 0.0646


(3)
# Ce6PtAu
Simulated powder X-ray diffraction pattern, CuKα. Input: DFT lattice parameters and positions (PBE).
Peak positions follow from Bragg's law for the DFT cell and can differ from measured ones.

Main lines, by angle (10 to 90 degrees two-theta):
| two_theta | d_spacing | I/Imax | h k l |
| --- | --- | --- | --- |
| 20.73 | 4.284 | 30 | 1 1 -1 |
| 27.85 | 3.204 | 51 | 4 0 -1 |
| 29.88 | 2.990 | 80 | 1 1 -2 |
| 30.65 | 2.917 | 79 | 3 1 -2 |
| 34.62 | 2.591 | 100 | 0 2 0 |
| 38.63 | 2.331 | 83 | 3 1 1 |
| 39.55 | 2.278 | 71 | 2 0 2 |
| 39.84 | 2.262 | 57 | 5 1 -1 |
| 42.18 | 2.142 | 33 | 1 1 -3 |
| 43.89 | 2.063 | 37 | 5 1 -3 |

a b c (Å): 12.9307 5.1817 7.6277
angles (deg): 90.00 122.73 90.00
Space group C2/m (No. 12)
Symmetry-distinct sites (fractional):
1 Ce 0.1228 0.0000 0.4647
2 Ce 0.1321 0.5000 0.2827
3 Ce 0.2276 0.5000 0.8655
4 Pt 0.0000 0.5000 0.5000
5 Au 0.0000 0.0000 0.0000


(4)
# Ce6Pt2Au
Simulated powder X-ray diffraction pattern, CuKα. Input: DFT lattice parameters and positions (PBE).
Peak positions follow from Bragg's law for the DFT cell and can differ from measured ones.

Main lines, by angle (10 to 90 degrees two-theta):
| two_theta | d_spacing | I/Imax | h k l |
| --- | --- | --- | --- |
| 30.73 | 2.909 | 71 | 0 0 3 |
| 32.11 | 2.787 | 83 | 3 1 0 |
| 32.95 | 2.718 | 100 | 3 1 -1 |
| 37.26 | 2.413 | 84 | 0 2 0 |
| 37.86 | 2.376 | 49 | 1 1 3 |
| 39.72 | 2.269 | 63 | 3 1 2 |
| 43.14 | 2.097 | 54 | 3 1 -3 |
| 49.04 | 1.857 | 39 | 0 2 3 |
| 53.71 | 1.707 | 28 | 6 0 -1 |
| 67.18 | 1.393 | 29 | 6 2 -1 |

a b c (Å): 10.2899 4.8268 8.7686
angles (deg): 90.00 95.54 90.00
Space group C2/m (No. 12)
Symmetry-distinct sites (fractional):
1 Ce 0.0553 0.0000 0.3541
2 Ce 0.1041 0.5000 0.6874
3 Ce 0.1916 0.5000 0.0676
4 Pt 0.2329 0.5000 0.3857
5 Au 0.0000 0.0000 0.0000


(5)
# CePt2Au4
Simulated powder X-ray diffraction pattern, CuKα. Input: DFT lattice parameters and positions (PBE).
Peak positions follow from Bragg's law for the DFT cell and can differ from measured ones.

Main lines, by angle (10 to 90 degrees two-theta):
| two_theta | d_spacing | I/Imax | h k l |
| --- | --- | --- | --- |
| 31.06 | 2.879 | 32 | 2 0 -2 |
| 31.76 | 2.817 | 30 | 2 0 1 |
| 33.95 | 2.641 | 66 | 0 0 2 |
| 34.96 | 2.566 | 34 | 1 1 -2 |
| 37.14 | 2.421 | 100 | 4 0 -1 |
| 38.46 | 2.341 | 91 | 2 2 -1 |
| 38.65 | 2.329 | 77 | 2 2 0 |
| 45.57 | 1.990 | 47 | 2 2 -2 |
| 46.09 | 1.970 | 50 | 2 2 1 |
| 68.08 | 1.377 | 30 | 0 4 0 |

a b c (Å): 9.6868 5.5093 5.8619
angles (deg): 90.00 115.71 90.00
Space group C2/m (No. 12)
Symmetry-distinct sites (fractional):
1 Ce 0.0000 0.0000 0.0000
2 Pt 0.0667 0.5000 0.2535
3 Au 0.1748 0.2476 0.7112


(6)
# Ce7Pu2Pt2Au
Simulated powder X-ray diffraction pattern, CuKα. Input: DFT lattice parameters and positions (PBE).
Peak positions follow from Bragg's law for the DFT cell and can differ from measured ones.

Main lines, by angle (10 to 90 degrees two-theta):
| two_theta | d_spacing | I/Imax | h k l |
| --- | --- | --- | --- |
| 21.25 | 4.181 | 8 | 1 0 3 |
| 33.01 | 2.713 | 74 | 2 0 0 |
| 36.03 | 2.493 | 100 | 1 1 6 |
| 47.38 | 1.919 | 27 | 2 2 0 |
| 49.63 | 1.837 | 8 | 2 1 7 |
| 60.93 | 1.520 | 42 | 3 1 6 |
| 66.65 | 1.403 | 8 | 2 0 12 |
| 69.26 | 1.357 | 9 | 4 0 0 |
| 78.89 | 1.213 | 12 | 4 2 0 |
| 80.62 | 1.192 | 11 | 3 3 6 |

a b c (Å): 5.4266 5.4266 19.6735
angles (deg): 90.00 90.00 90.00
Space group I4/mmm (No. 139)
Symmetry-distinct sites (fractional):
1 Ce 0.0000 0.0000 0.0000
2 Ce 0.0000 0.0000 0.3004
3 Ce 0.0000 0.5000 0.0831
4 Pu 0.0000 0.0000 0.1526
5 Pt 0.0000 0.5000 0.2500
6 Au 0.0000 0.0000 0.5000


(7)
# CeUPt8Au2
Simulated powder X-ray diffraction pattern, CuKα. Input: DFT lattice parameters and positions (PBE).
Peak positions follow from Bragg's law for the DFT cell and can differ from measured ones.

Main lines, by angle (10 to 90 degrees two-theta):
| two_theta | d_spacing | I/Imax | h k l |
| --- | --- | --- | --- |
| 33.43 | 2.681 | 35 | 1 1 0 |
| 39.40 | 2.287 | 100 | 2 0 2 |
| 39.48 | 2.282 | 33 | 1 0 10 |
| 41.21 | 2.190 | 40 | 0 2 4 |
| 41.35 | 2.183 | 13 | 0 0 12 |
| 63.76 | 1.460 | 33 | 3 0 6 |
| 70.13 | 1.342 | 19 | 2 2 0 |
| 70.32 | 1.339 | 19 | 0 2 16 |
| 83.56 | 1.157 | 12 | 0 4 2 |
| 84.78 | 1.144 | 16 | 2 2 12 |

a b c (Å): 5.3674 5.3674 26.2008
angles (deg): 90.00 90.00 120.00
Space group R3m (No. 160, hexagonal axes)
Symmetry-distinct sites (fractional):
1 Ce 0.0000 0.0000 0.0000
2 U 0.0000 0.0000 0.4997
3 Pt 0.0000 0.0000 0.3124
4 Pt 0.0000 0.0000 0.8124
5 Pt 0.9997 0.4999 0.0633
6 Pt 0.1677 0.3355 0.8952
7 Au 0.0000 0.0000 0.1256
8 Au 0.0000 0.0000 0.6243


(8)
# Ce12PuAu6
Simulated powder X-ray diffraction pattern, CuKα. Input: DFT lattice parameters and positions (PBE).
Peak positions follow from Bragg's law for the DFT cell and can differ from measured ones.

Main lines, by angle (10 to 90 degrees two-theta):
| two_theta | d_spacing | I/Imax | h k l |
| --- | --- | --- | --- |
| 16.41 | 5.402 | 26 | 0 1 2 |
| 23.10 | 3.850 | 100 | 2 1 1 |
| 33.03 | 2.712 | 28 | 3 0 3 |
| 33.40 | 2.683 | 43 | 3 1 2 |
| 36.30 | 2.475 | 89 | 2 1 4 |
| 38.53 | 2.336 | 39 | 1 4 0 |
| 39.41 | 2.286 | 30 | 5 -3 2 |
| 42.47 | 2.128 | 41 | 3 -2 5 |
| 45.41 | 1.997 | 16 | 2 4 1 |
| 49.60 | 1.838 | 16 | 6 -5 2 |

a b c (Å): 12.3624 12.3624 12.5127
angles (deg): 90.00 90.00 120.00
Space group R-3 (No. 148, hexagonal axes)
Symmetry-distinct sites (fractional):
1 Ce 0.0201 0.1951 0.4279
2 Ce 0.0454 0.1805 0.8879
3 Pu 0.0000 0.0000 0.0000
4 Au 0.0380 0.2738 0.6654


What did the fourth record say?
# Ce6Pt2Au
Simulated powder X-ray diffraction pattern, CuKα. Input: DFT lattice parameters and positions (PBE).
Peak positions follow from Bragg's law for the DFT cell and can differ from measured ones.

Main lines, by angle (10 to 90 degrees two-theta):
| two_theta | d_spacing | I/Imax | h k l |
| --- | --- | --- | --- |
| 30.73 | 2.909 | 71 | 0 0 3 |
| 32.11 | 2.787 | 83 | 3 1 0 |
| 32.95 | 2.718 | 100 | 3 1 -1 |
| 37.26 | 2.413 | 84 | 0 2 0 |
| 37.86 | 2.376 | 49 | 1 1 3 |
| 39.72 | 2.269 | 63 | 3 1 2 |
| 43.14 | 2.097 | 54 | 3 1 -3 |
| 49.04 | 1.857 | 39 | 0 2 3 |
| 53.71 | 1.707 | 28 | 6 0 -1 |
| 67.18 | 1.393 | 29 | 6 2 -1 |

a b c (Å): 10.2899 4.8268 8.7686
angles (deg): 90.00 95.54 90.00
Space group C2/m (No. 12)
Symmetry-distinct sites (fractional):
1 Ce 0.0553 0.0000 0.3541
2 Ce 0.1041 0.5000 0.6874
3 Ce 0.1916 0.5000 0.0676
4 Pt 0.2329 0.5000 0.3857
5 Au 0.0000 0.0000 0.0000